Entry 1:
Structure and simulated powder XRD pattern of NaBe2Tl3F8 (a GGA-PBE-relaxed structure; a wavelength of 1.5418 Å).
Kinematic intensities with the Lorentz-polarization factor, no thermal factor.

Top 10 peaks for 10° ≤ 2θ ≤ 90°, in order of falling intensity:
- 21.07 deg, intensity 100, (1 0 1)
- 30.50 deg, intensity 72, (1 1 0)
- 29.42 deg, intensity 67, (0 1 2)
- 37.36 deg, intensity 44, (0 2 1)
- 42.89 deg, intensity 36, (2 0 2)
- 47.53 deg, intensity 31, (1 1 3)
- 48.97 deg, intensity 26, (2 1 1)
- 53.53 deg, intensity 24, (1 2 2)
- 35.56 deg, intensity 18, (0 0 3)
- 54.20 deg, intensity 14, (3 0 0)

a = 5.8627 Å, b = 5.8627 Å, c = 7.5736 Å
α = 90.00°, β = 90.00°, γ = 120.00°
Space group P-3m1 (No. 164)
Unique sites:
Na (0.0000, 0.0000, 0.0000) (multiplicity 1)
Be (0.3333, 0.6667, 0.7330) (multiplicity 2)
Tl (0.0000, 0.0000, 0.5000) (multiplicity 1)
Tl (0.3333, 0.6667, 0.1877) (multiplicity 2)
F (0.1866, 0.3732, 0.8066) (multiplicity 6)
F (0.3333, 0.6667, 0.5291) (multiplicity 2)

=====

Entry 2:
Structure and simulated powder XRD pattern of Rb2Be2ZnO6F8 (a GGA-PBE-relaxed structure; a wavelength of 1.5418 Å).
Kinematic intensities with the Lorentz-polarization factor, no thermal factor.

Top 10 peaks for 10° ≤ 2θ ≤ 90°, in order of falling intensity:
- 22.03 deg, intensity 100, (1 1 1)
- 22.41 deg, intensity 89, (1 0 -2)
- 25.14 deg, intensity 79, (0 3 1)
- 31.38 deg, intensity 60, (2 1 -1)
- 38.83 deg, intensity 59, (2 2 1)
- 34.63 deg, intensity 51, (0 2 3)
- 30.92 deg, intensity 41, (0 3 2)
- 20.48 deg, intensity 36, (0 0 2)
- 34.17 deg, intensity 34, (2 2 -1)
- 32.72 deg, intensity 27, (1 2 2)

a = 5.899 Å, b = 11.644 Å, c = 8.960 Å
α = 90.00°, β = 104.50°, γ = 90.00°
Space group P2_1/c (No. 14)
Unique sites:
Rb (0.149, 0.137, 0.391) (multiplicity 4)
Be (0.243, 0.666, 0.893) (multiplicity 4)
Zn (0.500, 0.000, 0.000) (multiplicity 2)
O (0.153, 0.560, 0.524) (multiplicity 4)
O (0.318, 0.121, 0.880) (multiplicity 4)
O (0.433, 0.120, 0.140) (multiplicity 4)
F (0.079, 0.729, 0.401) (multiplicity 4)
F (0.107, 0.586, 0.751) (multiplicity 4)
F (0.284, 0.589, 0.035) (multiplicity 4)
F (0.479, 0.705, 0.859) (multiplicity 4)

=====

Entry 3:
Structure and simulated powder XRD pattern of BePbF4 (a GGA-PBE-relaxed structure; a wavelength of 1.5418 Å).
Kinematic intensities with the Lorentz-polarization factor, no thermal factor.

Top 10 peaks for 10° ≤ 2θ ≤ 90°, in order of falling intensity:
- 20.43 deg, intensity 100, (0 1 1)
- 25.76 deg, intensity 70, (2 1 0)
- 24.39 deg, intensity 55, (0 0 2)
- 23.24 deg, intensity 49, (2 0 1)
- 35.77 deg, intensity 43, (2 1 2)
- 40.85 deg, intensity 41, (2 2 1)
- 42.06 deg, intensity 27, (4 0 1)
- 28.56 deg, intensity 26, (2 1 1)
- 40.66 deg, intensity 24, (0 1 3)
- 19.75 deg, intensity 24, (2 0 0)

a = 8.992 Å, b = 5.410 Å, c = 7.299 Å
α = 90.00°, β = 90.00°, γ = 90.00°
Space group Pnma (No. 62)
Unique sites:
Be (0.131, 0.250, 0.245) (multiplicity 4)
Pb (0.171, 0.250, 0.723) (multiplicity 4)
F (0.048, 0.005, 0.287) (multiplicity 8)
F (0.191, 0.250, 0.044) (multiplicity 4)
F (0.228, 0.750, 0.870) (multiplicity 4)

=====

Entry 4:
Structure and simulated powder XRD pattern of BePbF4 (a GGA-PBE-relaxed structure; a wavelength of 1.5418 Å).
Kinematic intensities with the Lorentz-polarization factor, no thermal factor.

Top 10 peaks for 10° ≤ 2θ ≤ 90°, in order of falling intensity:
- 20.28 deg, intensity 100, (0 1 1)
- 28.08 deg, intensity 97, (2 1 1)
- 24.16 deg, intensity 59, (0 0 2)
- 19.22 deg, intensity 52, (2 0 0)
- 38.38 deg, intensity 41, (2 2 0)
- 45.00 deg, intensity 40, (2 1 3)
- 40.29 deg, intensity 38, (0 1 3)
- 45.87 deg, intensity 35, (2 2 2)
- 25.29 deg, intensity 31, (2 1 0)
- 32.89 deg, intensity 23, (0 2 0)

a = 9.236 Å, b = 5.446 Å, c = 7.367 Å
α = 90.00°, β = 90.00°, γ = 90.00°
Space group Pnma (No. 62)
Unique sites:
Be (0.077, 0.250, 0.245) (multiplicity 4)
Pb (0.215, 0.250, 0.751) (multiplicity 4)
F (0.012, 0.509, 0.765) (multiplicity 8)
F (0.172, 0.250, 0.423) (multiplicity 4)
F (0.193, 0.250, 0.086) (multiplicity 4)